No. 1
Diffraction record for TaOsCSe2. The powder X-ray diffraction pattern is computed, not measured: it uses DFT lattice parameters and positions (PBE) and Cu Kα X-rays.
No peak broadening, texture or thermal motion is included.

Cell and atoms:
abc: 3.4111 3.4111 9.1235
angles: 90.00 90.00 120.00
Space group P3m1 (No. 156)
Unique sites:
Ta 0.0000 0.0000 0.0000 [1 per cell]
Os 0.3333 0.6667 0.2133 [1 per cell]
C 0.6667 0.3333 0.1298 [1 per cell]
Se 0.0000 0.0000 0.4024 [1 per cell]
Se 0.3333 0.6667 0.8061 [1 per cell]

Principal peaks in the range 10° ≤ 2θ ≤ 80°, in order of rising 2θ:
d (Å)	2theta	I_rel	hkl
2.954	30.25	33.8	1 0 0
2.480	36.23	100.0	1 0 2
2.119	42.67	58.4	1 0 3
1.706	53.74	30.6	1 1 0
1.405	66.54	17.1	0 2 2
1.246	76.44	20.0	1 1 5

No. 2
Diffraction record for TeOs2CSe. The powder X-ray diffraction pattern is computed, not measured: it uses DFT lattice parameters and positions (PBE) and Cu Kα X-rays.
No peak broadening, texture or thermal motion is included.

Cell and atoms:
abc: 3.4946 3.4946 8.8799
angles: 90.00 90.00 120.00
Space group P3m1 (No. 156)
Unique sites:
Te 0.0000 0.0000 0.0000 [1 per cell]
Os 0.0000 0.0000 0.5704 [1 per cell]
Os 0.3333 0.6667 0.7810 [1 per cell]
C 0.6667 0.3333 0.7172 [1 per cell]
Se 0.3333 0.6667 0.4090 [1 per cell]

Principal peaks in the range 10° ≤ 2θ ≤ 80°, in order of rising 2θ:
d (Å)	2theta	I_rel	hkl
3.026	29.52	37.5	1 0 0
2.501	35.91	100.0	1 0 2
2.116	42.73	53.6	1 0 3
1.747	52.36	33.5	1 1 0
1.432	65.13	17.8	0 2 2
1.246	76.48	17.2	1 1 5

No. 3
Diffraction record for Sr2Os3C5. The powder X-ray diffraction pattern is computed, not measured: it uses DFT lattice parameters and positions (PBE) and Cu Kα X-rays.
No peak broadening, texture or thermal motion is included.

Cell and atoms:
abc: 10.583 4.382 7.264
angles: 90.00 123.03 90.00
Space group C2 (No. 5)
Unique sites:
Sr 0.125 0.000 0.286 [4 per cell]
Os 0.000 0.502 0.500 [2 per cell]
Os 0.161 0.501 0.963 [4 per cell]
C 0.000 0.500 0.000 [2 per cell]
C 0.132 0.164 0.724 [4 per cell]
C 0.133 0.840 0.724 [4 per cell]

Principal peaks in the range 10° ≤ 2θ ≤ 80°, in order of rising 2θ:
d (Å)	2theta	I_rel	hkl
5.169	17.15	30.1	2 0 -1
3.929	22.63	24.8	1 1 0
2.745	32.62	100.0	3 1 -1
2.408	37.34	20.8	2 0 -3
2.191	41.20	22.0	0 2 0
2.167	41.69	28.0	1 1 2

No. 4
Diffraction record for Ta4Os3C. The powder X-ray diffraction pattern is computed, not measured: it uses DFT lattice parameters and positions (PBE) and Cu Kα X-rays.
No peak broadening, texture or thermal motion is included.

Cell and atoms:
abc: 5.086 5.086 10.570
angles: 90.00 90.00 90.00
Space group I4/mmm (No. 139)
Unique sites:
Ta 0.000 0.000 0.196 [4 per cell]
Ta 0.000 0.500 0.000 [4 per cell]
Os 0.000 0.000 0.500 [2 per cell]
Os 0.000 0.500 0.250 [4 per cell]
C 0.000 0.000 0.000 [2 per cell]

Principal peaks in the range 10° ≤ 2θ ≤ 80°, in order of rising 2θ:
d (Å)	2theta	I_rel	hkl
2.896	30.88	39.7	1 0 3
2.642	33.93	33.7	0 0 4
2.543	35.30	100.0	2 0 0
1.911	47.59	24.6	2 1 3
1.832	49.76	46.3	2 0 4
1.798	50.78	36.0	2 2 0

No. 5
Diffraction record for Tb12Os5C15. The powder X-ray diffraction pattern is computed, not measured: it uses DFT lattice parameters and positions (PBE) and Cu Kα X-rays.
No peak broadening, texture or thermal motion is included.

Cell and atoms:
abc: 10.7505 10.7505 5.1127
angles: 90.00 90.00 120.00
Space group P-62m (No. 189)
Unique sites:
Tb 0.0000 0.4348 0.0000 [3 per cell]
Tb 0.0000 0.7936 0.0000 [3 per cell]
Tb 0.1833 0.7274 0.5000 [6 per cell]
Os 0.0000 0.1609 0.5000 [3 per cell]
Os 0.3333 0.6667 0.0000 [2 per cell]
C 0.0000 0.3354 0.5000 [3 per cell]
C 0.0000 0.4600 0.5000 [3 per cell]
C 0.0000 0.7930 0.5000 [3 per cell]
C 0.1848 0.7162 0.0000 [6 per cell]

Principal peaks in the range 10° ≤ 2θ ≤ 80°, in order of rising 2θ:
d (Å)	2theta	I_rel	hkl
2.899	30.85	100.0	2 1 1
2.653	33.79	20.7	3 0 1
2.582	34.74	39.4	3 1 0
2.556	35.10	36.6	0 0 2
2.379	37.82	17.4	2 2 1
1.817	50.22	27.7	3 1 2

No. 6
Diffraction record for TmScP2C4. The powder X-ray diffraction pattern is computed, not measured: it uses DFT lattice parameters and positions (PBE) and Cu Kα X-rays.
No peak broadening, texture or thermal motion is included.

Cell and atoms:
abc: 3.5298 3.5298 8.6309
angles: 90.00 90.00 120.00
Space group P-3m1 (No. 164)
Unique sites:
Tm 0.0000 0.0000 0.0000 [1 per cell]
Sc 0.0000 0.0000 0.5000 [1 per cell]
P 0.3333 0.6667 0.7426 [2 per cell]
C 0.3333 0.6667 0.1649 [2 per cell]
C 0.3333 0.6667 0.3471 [2 per cell]

Principal peaks in the range 10° ≤ 2θ ≤ 80°, in order of rising 2θ:
d (Å)	2theta	I_rel	hkl
8.631	10.25	64.7	0 0 1
3.057	29.21	34.6	1 0 0
2.881	31.04	44.1	1 0 1
2.494	36.00	100.0	0 1 2
1.764	51.83	46.8	1 1 0
1.504	61.67	19.4	1 0 5